Record 1
# Sn15Os3O14
Calculated PXRD pattern, Cu Kα. Input: a structure optimized by DFT (PBE).
Neutral-atom scattering factors, no anomalous dispersion.

Atomic structure:
```
Sn15Os3O14
1.0
6.301 -3.605 0.000
6.301 3.605 0.000
-4.165 0.000 12.485
Sn Os O
15 3 14
Cartesian
0.000 0.000 0.000
3.381 1.730 9.456
0.383 0.000 9.897
2.155 0.000 6.222
5.446 1.857 6.159
7.523 1.867 3.324
9.517 1.710 0.097
6.529 0.000 0.381
6.381 0.000 9.258
3.381 -1.730 9.456
5.446 -1.857 6.159
8.635 0.000 6.717
7.523 -1.867 3.324
10.816 0.000 3.251
9.517 -1.710 0.097
-1.946 0.000 11.043
4.332 0.000 7.660
8.613 0.000 1.878
0.214 0.000 2.138
1.209 1.829 9.181
0.134 0.000 6.873
5.334 1.676 0.418
2.068 0.000 4.117
5.566 1.984 4.067
2.381 0.000 10.759
7.667 1.546 5.639
1.209 -1.829 9.181
5.334 -1.676 0.418
6.371 0.000 11.352
5.566 -1.984 4.067
7.667 -1.546 5.639
10.390 0.000 5.556
```

Peak list (10 most intense, 2θ = 10–90°, low angle first)
| 2θ/deg | Rel. int. |
| --- | --- |
| 18.49 | 76 |
| 28.45 | 46 |
| 28.60 | 51 |
| 30.82 | 49 |
| 30.96 | 80 |
| 32.94 | 55 |
| 33.19 | 88 |
| 39.06 | 42 |
| 50.28 | 83 |
| 50.64 | 100 |

Record 2
# ZrSnOsO6
Calculated PXRD pattern, Cu Kα. Input: a structure optimized by DFT (PBE).
Neutral-atom scattering factors, no anomalous dispersion.

Atomic structure:
```
ZrSnOsO6
1.0
5.210 0.000 0.000
-2.605 4.512 0.000
0.000 0.000 9.396
Zr Sn Os O
2 2 2 12
Cartesian
0.000 3.008 2.349
2.605 1.504 7.047
0.000 0.000 0.000
0.000 0.000 4.698
0.000 3.008 7.047
2.605 1.504 2.349
-0.825 1.558 5.895
-1.668 3.019 8.199
0.825 1.558 8.199
-0.843 4.448 5.895
1.762 0.065 1.197
0.937 1.493 3.501
1.668 3.019 5.895
0.843 4.448 8.199
3.448 0.065 3.501
1.780 2.954 1.197
4.273 1.493 1.197
3.430 2.954 3.501
```

Peak list (10 most intense, 2θ = 10–90°, low angle first)
| 2θ/deg | Rel. int. |
| --- | --- |
| 18.89 | 16 |
| 21.85 | 17 |
| 27.41 | 100 |
| 34.43 | 50 |
| 39.56 | 17 |
| 44.55 | 27 |
| 52.45 | 48 |
| 57.49 | 26 |
| 61.67 | 17 |
| 85.18 | 12 |

Record 3
# Sr2Os2O7
Calculated PXRD pattern, Cu Kα. Input: a structure optimized by DFT (PBE).
Neutral-atom scattering factors, no anomalous dispersion.

Atomic structure:
```
Sr2Os2O7
1.0
-3.697 5.195 3.861
3.697 -5.195 3.861
3.697 5.195 -3.861
Sr Os O
4 4 14
Cartesian
0.000 0.000 0.000
-1.848 2.597 1.931
0.000 5.195 0.000
1.848 2.597 1.931
1.848 2.597 -1.931
1.848 -2.597 1.931
3.697 0.000 0.000
0.000 0.000 3.861
2.256 1.222 -0.566
5.137 1.222 -0.566
3.697 -2.597 2.628
2.256 3.973 -0.566
1.441 -1.222 3.295
3.697 0.966 1.705
0.000 0.966 2.156
3.697 4.228 1.705
0.000 4.228 2.156
2.256 6.416 0.566
1.441 1.222 4.427
0.000 7.792 1.233
-1.441 3.973 4.427
1.441 3.973 4.427
```

Peak list (10 most intense, 2θ = 10–90°, low angle first)
| 2θ/deg | Rel. int. |
| --- | --- |
| 14.29 | 22 |
| 16.60 | 17 |
| 28.81 | 100 |
| 29.66 | 90 |
| 33.56 | 51 |
| 34.53 | 24 |
| 48.92 | 54 |
| 56.63 | 32 |
| 58.11 | 28 |
| 58.41 | 15 |

Record 4
# SrOs3O12
Calculated PXRD pattern, Cu Kα. Input: a structure optimized by DFT (PBE).
Neutral-atom scattering factors, no anomalous dispersion.

Atomic structure:
```
SrOs3O12
1.0
4.589 2.649 9.540
-4.589 2.649 9.540
0.000 -5.299 9.540
Sr Os O
2 6 24
Cartesian
0.000 0.000 0.000
0.000 0.000 14.310
-3.024 0.221 12.592
-1.564 -2.428 17.361
1.321 -2.730 12.592
-1.321 2.569 17.361
1.704 2.509 12.592
2.885 -0.141 17.361
-0.095 -3.451 7.537
-1.604 -1.091 8.122
-2.941 1.808 7.537
-3.237 1.369 11.278
-1.648 -0.842 12.307
0.433 -3.487 11.278
-2.542 1.089 14.044
-1.352 -1.281 16.048
-2.047 -1.560 18.814
0.328 -2.746 14.044
-0.143 1.934 8.122
1.746 -0.844 8.122
1.553 -1.006 12.307
-1.746 -0.844 22.432
0.095 1.848 12.307
-0.433 1.811 16.048
3.036 1.643 7.537
1.785 -0.531 16.048
-0.328 2.553 18.814
2.804 2.119 11.278
2.214 1.657 14.044
2.375 -0.993 18.814
1.604 -1.091 22.432
0.143 1.934 22.432
```

Peak list (10 most intense, 2θ = 10–90°, low angle first)
| 2θ/deg | Rel. int. |
| --- | --- |
| 12.74 | 15 |
| 18.60 | 31 |
| 19.34 | 12 |
| 21.49 | 100 |
| 26.96 | 26 |
| 33.83 | 19 |
| 34.31 | 25 |
| 38.88 | 17 |
| 40.43 | 14 |
| 51.56 | 11 |

Record 5
# Sr3OsO8
Calculated PXRD pattern, Cu Kα. Input: a structure optimized by DFT (PBE).
Neutral-atom scattering factors, no anomalous dispersion.

Atomic structure:
```
Sr3OsO8
1.0
-2.817 2.817 5.592
2.817 -2.817 5.592
2.817 2.817 -5.592
Sr Os O
3 1 8
Cartesian
0.000 0.000 0.000
2.817 0.000 2.796
0.000 2.817 2.796
0.000 0.000 5.592
1.641 1.641 -1.194
1.176 -1.176 4.398
1.641 1.641 1.194
1.176 -1.176 6.786
-1.176 1.176 4.398
1.176 1.176 4.398
-1.176 1.176 6.786
1.176 1.176 6.786
```

Peak list (10 most intense, 2θ = 10–90°, low angle first)
| 2θ/deg | Rel. int. |
| --- | --- |
| 17.63 | 22 |
| 27.49 | 100 |
| 31.77 | 18 |
| 45.55 | 18 |
| 45.72 | 36 |
| 54.03 | 30 |
| 54.34 | 15 |
| 56.75 | 9 |
| 73.54 | 13 |
| 84.33 | 10 |

Record 6
# Sr6OsO12
Calculated PXRD pattern, Cu Kα. Input: a structure optimized by DFT (PBE).
Neutral-atom scattering factors, no anomalous dispersion.

Atomic structure:
```
Sr6OsO12
1.0
5.249 3.031 3.350
-5.249 3.031 3.350
0.000 -6.062 3.350
Sr Os O
6 1 12
Cartesian
-2.837 -2.423 5.186
-3.517 1.245 4.864
0.680 -3.669 4.864
-0.680 3.669 5.186
3.517 -1.245 5.186
2.837 2.423 4.864
0.000 0.000 5.025
-1.607 -4.391 4.369
-4.606 -0.804 5.681
-1.503 -0.415 3.966
-2.999 3.587 4.369
1.111 -1.094 3.966
-0.392 -1.509 6.084
0.392 1.509 3.966
-1.111 1.094 6.084
2.999 -3.587 5.681
1.503 0.415 6.084
4.606 0.804 4.369
1.607 4.391 5.681
```

Peak list (10 most intense, 2θ = 10–90°, low angle first)
| 2θ/deg | Rel. int. |
| --- | --- |
| 13.13 | 20 |
| 20.19 | 17 |
| 26.61 | 33 |
| 27.43 | 100 |
| 31.54 | 40 |
| 44.68 | 33 |
| 45.73 | 27 |
| 52.76 | 12 |
| 53.68 | 27 |
| 54.15 | 11 |